1.
Structure and theoretical XRD peak list of SnPbCl6 (the PBE geometry in Alexandria; CuKα).
No peak broadening, texture or thermal motion is included.

```
data_SnPbCl6
_chemical_formula_sum 'Sn2 Pb2 Cl12'
_cell_length_a 6.750
_cell_length_b 12.087
_cell_length_c 6.671
_cell_angle_alpha 90.00
_cell_angle_beta 105.51
_cell_angle_gamma 90.00
_space_group_name_H-M_alt 'C 1 2/m 1'
_space_group_IT_number 12
loop_
_space_group_symop_operation_xyz
'x,y,z'
'-x,-y,-z'
'-x,y,-z'
'x,-y,z'
'x+1/2,y+1/2,z'
'-x+1/2,-y+1/2,-z'
'-x+1/2,y+1/2,-z'
'x+1/2,-y+1/2,z'
loop_
_atom_site_label
_atom_site_type_symbol
_atom_site_fract_x
_atom_site_fract_y
_atom_site_fract_z
Sn1 Sn 0.000 0.000 0.000
Pb1 Pb 0.000 0.500 0.500
Cl1 Cl 0.209 0.146 0.220
Cl2 Cl 0.239 0.000 0.776
```

Largest 8 diffraction maxima, by intensity, 2θ = 5–70°:
- d = 4.886 Å, I = 100
- d = 6.043 Å, I = 90
- d = 2.861 Å, I = 81
- d = 3.850 Å, I = 49
- d = 2.203 Å, I = 33
- d = 2.671 Å, I = 27
- d = 2.838 Å, I = 19
- d = 1.944 Å, I = 19

2.
Structure and theoretical XRD peak list of Sn4Pb6Cl19 (the PBE geometry in Alexandria; CuKα).
No peak broadening, texture or thermal motion is included.

```
data_Sn4Pb6Cl19
_chemical_formula_sum 'Sn4 Pb6 Cl19'
_cell_length_a 10.389
_cell_length_b 10.633
_cell_length_c 11.325
_cell_angle_alpha 109.43
_cell_angle_beta 109.77
_cell_angle_gamma 105.38
_space_group_name_H-M_alt 'P 1'
_space_group_IT_number 1
loop_
_space_group_symop_operation_xyz
'x,y,z'
loop_
_atom_site_label
_atom_site_type_symbol
_atom_site_fract_x
_atom_site_fract_y
_atom_site_fract_z
Sn1 Sn 0.000 0.000 0.000
Sn2 Sn 0.125 0.416 0.886
Sn3 Sn 0.431 0.626 0.488
Sn4 Sn 0.779 0.321 0.116
Pb1 Pb 0.336 0.043 0.677
Pb2 Pb 0.437 0.884 0.079
Pb3 Pb 0.584 0.134 0.431
Pb4 Pb 0.610 0.546 0.851
Pb5 Pb 0.878 0.876 0.381
Pb6 Pb 0.930 0.629 0.625
Cl1 Cl 0.077 0.947 0.798
Cl2 Cl 0.082 0.734 0.492
Cl3 Cl 0.111 0.281 0.078
Cl4 Cl 0.158 0.082 0.462
Cl5 Cl 0.193 0.596 0.767
Cl6 Cl 0.252 0.019 0.169
Cl7 Cl 0.322 0.333 0.842
Cl8 Cl 0.337 0.639 0.127
Cl9 Cl 0.437 0.913 0.486
Cl10 Cl 0.505 0.130 0.005
Cl11 Cl 0.507 0.422 0.551
Cl12 Cl 0.561 0.786 0.755
Cl13 Cl 0.638 0.277 0.796
Cl14 Cl 0.682 0.704 0.476
Cl15 Cl 0.722 0.546 0.142
Cl16 Cl 0.729 0.884 0.127
Cl17 Cl 0.788 0.342 0.363
Cl18 Cl 0.849 0.116 0.557
Cl19 Cl 0.902 0.653 0.890
```

Largest 8 diffraction maxima, by intensity, 2θ = 5–70°:
- d = 3.528 Å, I = 100
- d = 4.029 Å, I = 99
- d = 4.890 Å, I = 90
- d = 3.804 Å, I = 87
- d = 3.958 Å, I = 64
- d = 3.437 Å, I = 63
- d = 8.847 Å, I = 57
- d = 5.252 Å, I = 54

3.
Structure and theoretical XRD peak list of Sn3PbCl7 (the PBE geometry in Alexandria; CuKα).
No peak broadening, texture or thermal motion is included.

```
data_Sn3PbCl7
_chemical_formula_sum 'Sn6 Pb2 Cl14'
_cell_length_a 8.865
_cell_length_b 10.488
_cell_length_c 8.419
_cell_angle_alpha 90.00
_cell_angle_beta 120.67
_cell_angle_gamma 90.00
_space_group_name_H-M_alt 'C 1 2/m 1'
_space_group_IT_number 12
loop_
_space_group_symop_operation_xyz
'x,y,z'
'-x,-y,-z'
'-x,y,-z'
'x,-y,z'
'x+1/2,y+1/2,z'
'-x+1/2,-y+1/2,-z'
'-x+1/2,y+1/2,-z'
'x+1/2,-y+1/2,z'
loop_
_atom_site_label
_atom_site_type_symbol
_atom_site_fract_x
_atom_site_fract_y
_atom_site_fract_z
Sn1 Sn 0.000 0.000 0.000
Sn2 Sn 0.000 0.236 0.500
Pb1 Pb 0.000 0.500 0.000
Cl1 Cl 0.000 0.500 0.500
Cl2 Cl 0.118 0.000 0.739
Cl3 Cl 0.121 0.249 0.234
```

Largest 8 diffraction maxima, by intensity, 2θ = 5–70°:
- d = 4.247 Å, I = 100
- d = 3.812 Å, I = 59
- d = 3.748 Å, I = 58
- d = 2.491 Å, I = 55
- d = 2.455 Å, I = 53
- d = 2.622 Å, I = 38
- d = 2.149 Å, I = 25
- d = 2.160 Å, I = 24

4.
Structure and theoretical XRD peak list of SnPb3Cl8 (the PBE geometry in Alexandria; CuKα).
No peak broadening, texture or thermal motion is included.

```
data_SnPb3Cl8
_chemical_formula_sum 'Sn1 Pb3 Cl8'
_cell_length_a 5.745
_cell_length_b 9.451
_cell_length_c 9.645
_cell_angle_alpha 69.48
_cell_angle_beta 89.33
_cell_angle_gamma 74.24
_space_group_name_H-M_alt 'P 1'
_space_group_IT_number 1
loop_
_space_group_symop_operation_xyz
'x,y,z'
loop_
_atom_site_label
_atom_site_type_symbol
_atom_site_fract_x
_atom_site_fract_y
_atom_site_fract_z
Sn1 Sn 0.000 0.000 0.000
Pb1 Pb 0.591 0.795 0.412
Pb2 Pb 0.691 0.618 0.997
Pb3 Pb 0.898 0.181 0.410
Cl1 Cl 0.055 0.862 0.380
Cl2 Cl 0.157 0.702 0.979
Cl3 Cl 0.440 0.110 0.426
Cl4 Cl 0.571 0.938 0.048
Cl5 Cl 0.685 0.623 0.704
Cl6 Cl 0.726 0.516 0.326
Cl7 Cl 0.831 0.287 0.088
Cl8 Cl 0.881 0.145 0.723
```

Largest 8 diffraction maxima, by intensity, 2θ = 5–70°:
- d = 4.503 Å, I = 100
- d = 5.506 Å, I = 66
- d = 2.870 Å, I = 55
- d = 5.372 Å, I = 54
- d = 8.995 Å, I = 42
- d = 2.391 Å, I = 40
- d = 3.028 Å, I = 39
- d = 2.998 Å, I = 34

5.
Structure and theoretical XRD peak list of Sr2PbCl6 (the PBE geometry in Alexandria; CuKα).
No peak broadening, texture or thermal motion is included.

```
data_Sr2PbCl6
_chemical_formula_sum 'Sr6 Pb3 Cl18'
_cell_length_a 12.6022
_cell_length_b 12.6022
_cell_length_c 6.5759
_cell_angle_alpha 90.00
_cell_angle_beta 90.00
_cell_angle_gamma 120.00
_space_group_name_H-M_alt 'P 3 2 1'
_space_group_IT_number 150
loop_
_space_group_symop_operation_xyz
'x,y,z'
'-y,x-y,z'
'-x+y,-x,z'
'y,x,-z'
'x-y,-y,-z'
'-x,-x+y,-z'
loop_
_atom_site_label
_atom_site_type_symbol
_atom_site_fract_x
_atom_site_fract_y
_atom_site_fract_z
Sr1 Sr 0.0000 0.3564 0.0000
Sr2 Sr 0.0000 0.6912 0.5000
Pb1 Pb 0.0000 0.0000 0.0000
Pb2 Pb 0.3333 0.6667 0.5007
Cl1 Cl 0.0954 0.2243 0.2383
Cl2 Cl 0.1099 0.5741 0.2595
Cl3 Cl 0.2194 0.4427 0.7420
```

Largest 8 diffraction maxima, by intensity, 2θ = 5–70°:
- d = 2.439 Å, I = 100
- d = 4.550 Å, I = 61
- d = 5.632 Å, I = 56
- d = 4.199 Å, I = 48
- d = 3.494 Å, I = 46
- d = 3.638 Å, I = 43
- d = 2.100 Å, I = 42
- d = 3.183 Å, I = 37

6.
Structure and theoretical XRD peak list of TbPbCl5 (the PBE geometry in Alexandria; CuKα).
No peak broadening, texture or thermal motion is included.

```
data_TbPbCl5
_chemical_formula_sum 'Tb4 Pb4 Cl20'
_cell_length_a 10.304
_cell_length_b 10.293
_cell_length_c 10.411
_cell_angle_alpha 90.00
_cell_angle_beta 116.65
_cell_angle_gamma 90.00
_space_group_name_H-M_alt 'C 1 2/c 1'
_space_group_IT_number 15
loop_
_space_group_symop_operation_xyz
'x,y,z'
'-x,-y,-z'
'-x,y,-z+1/2'
'x,-y,z+1/2'
'x+1/2,y+1/2,z'
'-x+1/2,-y+1/2,-z'
'-x+1/2,y+1/2,-z+1/2'
'x+1/2,-y+1/2,z+1/2'
loop_
_atom_site_label
_atom_site_type_symbol
_atom_site_fract_x
_atom_site_fract_y
_atom_site_fract_z
Tb1 Tb 0.250 0.250 0.000
Pb1 Pb 0.000 0.088 0.250
Cl1 Cl 0.000 0.232 0.750
Cl2 Cl 0.100 0.291 0.146
Cl3 Cl 0.223 0.003 0.526
```

Largest 8 diffraction maxima, by intensity, 2θ = 5–70°:
- d = 4.809 Å, I = 100
- d = 6.863 Å, I = 74
- d = 4.407 Å, I = 71
- d = 3.197 Å, I = 61
- d = 2.719 Å, I = 40
- d = 2.232 Å, I = 29
- d = 2.302 Å, I = 26
- d = 3.179 Å, I = 26

7.
Structure and theoretical XRD peak list of TcPbCl6 (the PBE geometry in Alexandria; CuKα).
No peak broadening, texture or thermal motion is included.

```
data_TcPbCl6
_chemical_formula_sum 'Tc3 Pb3 Cl18'
_cell_length_a 6.5370
_cell_length_b 6.5370
_cell_length_c 17.9968
_cell_angle_alpha 90.00
_cell_angle_beta 90.00
_cell_angle_gamma 120.00
_space_group_name_H-M_alt 'R -3'
_space_group_IT_number 148
_space_group_name_Hall '-R 3'
loop_
_atom_site_label
_atom_site_type_symbol
_atom_site_fract_x
_atom_site_fract_y
_atom_site_fract_z
Tc1 Tc 0.0000 0.0000 0.0000
Pb1 Pb 0.0000 0.0000 0.5000
Cl1 Cl 0.0219 0.6379 0.5911
```

Largest 8 diffraction maxima, by intensity, 2θ = 5–70°:
- d = 4.792 Å, I = 100
- d = 3.522 Å, I = 49
- d = 2.210 Å, I = 46
- d = 2.870 Å, I = 26
- d = 2.700 Å, I = 25
- d = 2.082 Å, I = 21
- d = 1.932 Å, I = 20
- d = 1.887 Å, I = 19

8.
Structure and theoretical XRD peak list of TePb4Cl6 (the PBE geometry in Alexandria; CuKα).
No peak broadening, texture or thermal motion is included.

```
data_TePb4Cl6
_chemical_formula_sum 'Te2 Pb8 Cl12'
_cell_length_a 10.5866
_cell_length_b 10.5866
_cell_length_c 7.3825
_cell_angle_alpha 90.00
_cell_angle_beta 90.00
_cell_angle_gamma 120.00
_space_group_name_H-M_alt 'P 63 m c'
_space_group_IT_number 186
_space_group_name_Hall 'P 6c -2c'
loop_
_atom_site_label
_atom_site_type_symbol
_atom_site_fract_x
_atom_site_fract_y
_atom_site_fract_z
Te1 Te 0.3333 0.6667 0.0000
Pb1 Pb 0.1784 0.3569 0.1453
Pb2 Pb 0.3333 0.6667 0.5788
Cl1 Cl 0.0671 0.5336 0.3942
Cl2 Cl 0.1366 0.2731 0.7699
```

Largest 8 diffraction maxima, by intensity, 2θ = 5–70°:
- d = 3.894 Å, I = 100
- d = 2.647 Å, I = 65
- d = 4.584 Å, I = 41
- d = 2.168 Å, I = 39
- d = 2.875 Å, I = 32
- d = 2.151 Å, I = 30
- d = 2.189 Å, I = 23
- d = 3.691 Å, I = 19

9.
Structure and theoretical XRD peak list of TlPbCl3 (the PBE geometry in Alexandria; CuKα).
No peak broadening, texture or thermal motion is included.

```
data_TlPbCl3
_chemical_formula_sum 'Tl32 Pb32 Cl96'
_cell_length_a 15.796
_cell_length_b 16.886
_cell_length_c 17.449
_cell_angle_alpha 90.00
_cell_angle_beta 90.00
_cell_angle_gamma 90.00
_space_group_name_H-M_alt 'F m m 2'
_space_group_IT_number 42
_space_group_name_Hall 'F 2 -2'
loop_
_atom_site_label
_atom_site_type_symbol
_atom_site_fract_x
_atom_site_fract_y
_atom_site_fract_z
Tl1 Tl 0.000 0.250 0.000
Tl2 Tl 0.183 0.000 0.410
Tl3 Tl 0.188 0.161 0.760
Pb1 Pb 0.000 0.000 0.607
Pb2 Pb 0.000 0.000 0.888
Pb3 Pb 0.000 0.150 0.260
Pb4 Pb 0.175 0.000 0.085
Pb5 Pb 0.250 0.250 0.019
Cl1 Cl 0.000 0.000 0.066
Cl2 Cl 0.000 0.000 0.444
Cl3 Cl 0.000 0.190 0.736
Cl4 Cl 0.111 0.000 0.752
Cl5 Cl 0.128 0.183 0.369
Cl6 Cl 0.130 0.000 0.240
Cl7 Cl 0.138 0.111 0.940
Cl8 Cl 0.145 0.176 0.130
Cl9 Cl 0.151 0.110 0.571
```

Largest 8 diffraction maxima, by intensity, 2θ = 5–70°:
- d = 3.755 Å, I = 100
- d = 3.803 Å, I = 95
- d = 3.876 Å, I = 70
- d = 3.800 Å, I = 64
- d = 2.051 Å, I = 45
- d = 2.766 Å, I = 44
- d = 2.738 Å, I = 43
- d = 2.554 Å, I = 38

10.
Structure and theoretical XRD peak list of Tl4Pb3Cl10 (the PBE geometry in Alexandria; CuKα).
No peak broadening, texture or thermal motion is included.

```
data_Tl4Pb3Cl10
_chemical_formula_sum 'Tl4 Pb3 Cl10'
_cell_length_a 5.704
_cell_length_b 5.730
_cell_length_c 19.982
_cell_angle_alpha 82.26
_cell_angle_beta 82.26
_cell_angle_gamma 88.96
_space_group_name_H-M_alt 'P -1'
_space_group_IT_number 2
loop_
_space_group_symop_operation_xyz
'x,y,z'
'-x,-y,-z'
loop_
_atom_site_label
_atom_site_type_symbol
_atom_site_fract_x
_atom_site_fract_y
_atom_site_fract_z
Tl1 Tl 0.096 0.448 0.133
Tl2 Tl 0.199 0.605 0.592
Pb1 Pb 0.328 0.860 0.296
Pb2 Pb 0.500 0.000 0.000
Cl1 Cl 0.000 0.000 0.000
Cl2 Cl 0.177 0.108 0.685
Cl3 Cl 0.272 0.646 0.434
Cl4 Cl 0.298 0.388 0.271
Cl5 Cl 0.357 0.936 0.146
Cl6 Cl 0.500 0.500 0.000
```

Largest 8 diffraction maxima, by intensity, 2θ = 5–70°:
- d = 3.981 Å, I = 100
- d = 4.025 Å, I = 72
- d = 4.006 Å, I = 43
- d = 4.079 Å, I = 37
- d = 2.803 Å, I = 35
- d = 2.295 Å, I = 32
- d = 2.865 Å, I = 30
- d = 2.682 Å, I = 25

11.
Structure and theoretical XRD peak list of Tl2PbCl (the PBE geometry in Alexandria; CuKα).
No peak broadening, texture or thermal motion is included.

```
data_Tl2PbCl
_chemical_formula_sum 'Tl4 Pb2 Cl2'
_cell_length_a 4.057
_cell_length_b 5.761
_cell_length_c 10.442
_cell_angle_alpha 90.00
_cell_angle_beta 90.00
_cell_angle_gamma 90.00
_space_group_name_H-M_alt 'C m m m'
_space_group_IT_number 65
_space_group_name_Hall '-C 2 2'
loop_
_atom_site_label
_atom_site_type_symbol
_atom_site_fract_x
_atom_site_fract_y
_atom_site_fract_z
Tl1 Tl 0.000 0.000 0.217
Pb1 Pb 0.000 0.500 0.500
Cl1 Cl 0.000 0.500 0.000
```

Largest 8 diffraction maxima, by intensity, 2θ = 5–70°:
- d = 2.800 Å, I = 100
- d = 2.880 Å, I = 30
- d = 3.161 Å, I = 23
- d = 1.647 Å, I = 21
- d = 1.767 Å, I = 19
- d = 3.481 Å, I = 19
- d = 2.611 Å, I = 15
- d = 1.934 Å, I = 12